Calculated PXRD pattern of Tb2CdGe for Cu Kα X-rays, from DFT lattice parameters and positions (PBE).
No peak broadening, texture or thermal motion is included.

Crystal structure
Cell: 5.043 5.043 3.832 Å, 90.00 90.00 90.00°
Space group P4/mmm (No. 123)
One atom of each set of equivalent atoms:
1 Tb 0.000 0.500 0.000 [2 per cell]
2 Cd 0.000 0.000 0.500 [1 per cell]
3 Ge 0.500 0.500 0.500 [1 per cell]

Principal peaks in the range 2θ = 5–70°, sorted by position:
hkl 0 0 1, 23.21 deg, I = 4; hkl 1 1 0, 24.97 deg, I = 7; hkl 1 1 1, 34.35 deg, I = 100; hkl 2 0 0, 35.60 deg, I = 45; hkl 2 0 1, 42.94 deg, I = 3; hkl 0 0 2, 47.45 deg, I = 10; hkl 2 2 0, 51.23 deg, I = 16; hkl 1 1 2, 54.36 deg, I = 2; hkl 2 0 2, 60.71 deg, I = 19; hkl 3 1 1, 63.14 deg, I = 34

=====

Calculated PXRD pattern of TlCd11Ge for Cu Kα X-rays, from DFT lattice parameters and positions (PBE).
No peak broadening, texture or thermal motion is included.

Crystal structure
Cell: 5.993 14.105 7.892 Å, 90.00 111.63 90.00°
Space group C2/m (No. 12)
One atom of each set of equivalent atoms:
1 Tl 0.000 0.000 0.000 [2 per cell]
2 Cd 0.000 0.500 0.500 [2 per cell]
3 Cd 0.110 0.393 0.216 [8 per cell]
4 Cd 0.169 0.176 0.352 [8 per cell]
5 Cd 0.250 0.250 0.000 [4 per cell]
6 Ge 0.000 0.000 0.500 [2 per cell]

Principal peaks in the range 2θ = 5–70°, sorted by position:
hkl 2 0 -1, 29.82 deg, I = 30; hkl 1 3 1, 30.18 deg, I = 42; hkl 1 3 -2, 30.40 deg, I = 31; hkl 1 1 2, 34.46 deg, I = 35; hkl 2 2 0, 34.62 deg, I = 50; hkl 2 2 -2, 34.84 deg, I = 100; hkl 0 4 2, 35.31 deg, I = 83; hkl 1 5 -1, 35.71 deg, I = 74; hkl 2 0 -3, 39.02 deg, I = 40; hkl 2 4 -1, 39.47 deg, I = 33